# Er2Se3O9
Theoretical powder XRD pattern, a wavelength of 1.5418 Å. Input: a crystal structure in OQMD, relaxed with GGA-PBE.

Principal peaks in the range 2θ = 10–90°, in order of rising 2θ:
25.22 deg, intensity 100, (0 2 0)
25.75 deg, intensity 85, (2 1 1)
29.00 deg, intensity 34, (1 0 -2)
31.51 deg, intensity 24, (1 1 -2)
32.72 deg, intensity 29, (1 0 3)
33.54 deg, intensity 33, (1 2 3)

Atomic structure:
Cell lengths 6.936, 7.893, 8.827 Å; angles 71.90, 70.60, 66.04 degrees
Space group P-1 (No. 2)
Asymmetric unit:
Er: 0.170 0.269 0.411
Er: 0.245 0.734 0.795
Se: 0.071 0.222 0.807
Se: 0.357 0.241 0.033
Se: 0.385 0.751 0.407
O: 0.019 0.591 0.349
O: 0.091 0.287 0.146
O: 0.146 0.054 0.689
O: 0.150 0.752 0.561
O: 0.159 0.797 0.050
O: 0.338 0.426 0.871
O: 0.352 0.984 0.334
O: 0.431 0.311 0.167
O: 0.462 0.305 0.450